Structure and computed X-ray diffraction stick pattern of LiSm2SnO5 (a structure optimized by DFT (PBE); Cu Kα (λ = 1.5418 Å)).
Kinematic intensities with the Lorentz-polarization factor, no thermal factor.

Main lines, in order of rising 2θ (10° ≤ 2θ ≤ 90°):
d = 6.169 Å, 14.36°, I = 67
d = 4.747 Å, 18.69°, I = 65
d = 3.084 Å, 28.95°, I = 46
d = 3.002 Å, 29.76°, I = 31
d = 2.948 Å, 30.32°, I = 100
d = 2.699 Å, 33.19°, I = 82
d = 2.151 Å, 42.00°, I = 66
d = 2.007 Å, 45.17°, I = 55
d = 1.753 Å, 52.17°, I = 22
d = 1.574 Å, 58.65°, I = 24

Cell and atoms:
abc: 6.713 6.713 6.169
angles: 90.00 90.00 90.00
Fractional coordinates of all 18 atoms:
Li 0.000 0.000 0.000
Li 0.500 0.500 0.000
Sm 0.177 0.323 0.500
Sm 0.323 0.823 0.500
Sm 0.677 0.177 0.500
Sm 0.823 0.677 0.500
Sn 0.000 0.500 0.000
Sn 0.500 0.000 0.000
O 0.000 0.000 0.500
O 0.142 0.642 0.258
O 0.142 0.642 0.742
O 0.358 0.142 0.258
O 0.358 0.142 0.742
O 0.500 0.500 0.500
O 0.642 0.858 0.258
O 0.642 0.858 0.742
O 0.858 0.358 0.258
O 0.858 0.358 0.742



Structure and computed X-ray diffraction stick pattern of Li4SnO4 (a structure optimized by DFT (PBE); Cu Kα (λ = 1.5418 Å)).
Kinematic intensities with the Lorentz-polarization factor, no thermal factor.

Main lines, in order of rising 2θ (10° ≤ 2θ ≤ 90°):
d = 5.520 Å, 16.06°, I = 44
d = 4.192 Å, 21.20°, I = 100
d = 4.136 Å, 21.48°, I = 41
d = 3.215 Å, 27.75°, I = 71
d = 2.782 Å, 32.18°, I = 38
d = 2.538 Å, 35.37°, I = 45
d = 2.399 Å, 37.50°, I = 30
d = 1.907 Å, 47.68°, I = 24
d = 1.739 Å, 52.62°, I = 23
d = 1.598 Å, 57.70°, I = 22

Cell and atoms:
abc: 5.554 5.554 6.441
angles: 90.00 90.00 83.72
Fractional coordinates of all 18 atoms:
Li 0.092 0.617 0.750
Li 0.343 0.343 0.000
Li 0.343 0.343 0.500
Li 0.383 0.908 0.750
Li 0.617 0.092 0.250
Li 0.657 0.657 0.000
Li 0.657 0.657 0.500
Li 0.908 0.383 0.250
Sn 0.152 0.848 0.250
Sn 0.848 0.152 0.750
O 0.188 0.235 0.750
O 0.235 0.188 0.250
O 0.296 0.704 0.511
O 0.296 0.704 0.989
O 0.704 0.296 0.011
O 0.704 0.296 0.489
O 0.765 0.812 0.750
O 0.812 0.765 0.250